Record 1
Theoretical X-ray diffraction stick pattern of Ho6FeBi2 for Cu Kα X-rays, from DFT lattice parameters and positions (PBE).
Kinematic intensities with the Lorentz-polarization factor, no thermal factor.

Main lines, in order of rising 2θ (5 to 70 degrees two-theta):
30.46 deg, d 2.935, I 92
32.96 deg, d 2.718, I 100
37.51 deg, d 2.398, I 29
39.64 deg, d 2.274, I 33
43.63 deg, d 2.075, I 26
55.74 deg, d 1.649, I 28
58.86 deg, d 1.569, I 25
63.36 deg, d 1.468, I 25

Atomic structure:
```
data_Ho6FeBi2
_chemical_formula_sum 'Ho6 Fe1 Bi2'
_cell_length_a 8.3053
_cell_length_b 8.3053
_cell_length_c 4.1482
_cell_angle_alpha 90.00
_cell_angle_beta 90.00
_cell_angle_gamma 120.00
_space_group_name_H-M_alt 'P -6 2 m'
_space_group_IT_number 189
_space_group_name_Hall 'P -6 -2'
loop_
_atom_site_label
_atom_site_fract_x
_atom_site_fract_y
_atom_site_fract_z
Ho1 0.0000 0.3891 0.0000
Ho2 0.0000 0.7705 0.5000
Fe1 0.0000 0.0000 0.0000
Bi1 0.3333 0.6667 0.5000
```

---

Record 2
Theoretical X-ray diffraction stick pattern of PuNiC2 for Cu Kα X-rays, from DFT lattice parameters and positions (PBE).
Kinematic intensities with the Lorentz-polarization factor, no thermal factor.

Main lines, in order of rising 2θ (5 to 70 degrees two-theta):
24.52 deg, d 3.631, I 61
29.66 deg, d 3.012, I 25
34.93 deg, d 2.569, I 100
38.83 deg, d 2.319, I 26
39.64 deg, d 2.274, I 18
49.63 deg, d 1.837, I 17
50.24 deg, d 1.816, I 26
56.67 deg, d 1.624, I 26

Atomic structure:
```
data_PuNiC2
_chemical_formula_sum 'Pu2 Ni2 C4'
_cell_length_a 3.6358
_cell_length_b 4.5474
_cell_length_c 6.0233
_cell_angle_alpha 90.00
_cell_angle_beta 90.00
_cell_angle_gamma 90.00
_space_group_name_H-M_alt 'A m m 2'
_space_group_IT_number 38
loop_
_space_group_symop_operation_xyz
'x,y,z'
'-x,-y,z'
'-x,y,z'
'x,-y,z'
'x,y+1/2,z+1/2'
'-x,-y+1/2,z+1/2'
'-x,y+1/2,z+1/2'
'x,-y+1/2,z+1/2'
loop_
_atom_site_label
_atom_site_fract_x
_atom_site_fract_y
_atom_site_fract_z
Pu1 0.0000 0.0000 0.0000
Ni1 0.5000 0.0000 0.3920
C1 0.5000 0.1529 0.6995
```

---

Record 3
Theoretical X-ray diffraction stick pattern of U2Mn3Si5 for Cu Kα X-rays, from DFT lattice parameters and positions (PBE).
Kinematic intensities with the Lorentz-polarization factor, no thermal factor.

Main lines, in order of rising 2θ (5 to 70 degrees two-theta):
18.51 deg, d 4.795, I 30
25.16 deg, d 3.540, I 41
31.66 deg, d 2.826, I 100
33.25 deg, d 2.695, I 27
35.26 deg, d 2.546, I 36
39.14 deg, d 2.302, I 44
41.41 deg, d 2.181, I 46
53.69 deg, d 1.707, I 31

Atomic structure:
```
data_U2Mn3Si5
_chemical_formula_sum 'U8 Mn12 Si20'
_cell_length_a 10.4956
_cell_length_b 10.4956
_cell_length_c 5.3898
_cell_angle_alpha 90.00
_cell_angle_beta 90.00
_cell_angle_gamma 90.00
_space_group_name_H-M_alt 'P 4/m n c'
_space_group_IT_number 128
_space_group_name_Hall '-P 4 2n'
loop_
_atom_site_label
_atom_site_fract_x
_atom_site_fract_y
_atom_site_fract_z
U1 0.0695 0.2355 0.0000
Mn1 0.0000 0.5000 0.2500
Mn2 0.1261 0.8598 0.5000
Si1 0.0000 0.0000 0.2555
Si2 0.0206 0.3162 0.5000
Si3 0.1788 0.6788 0.2500
```

---

Record 4
Theoretical X-ray diffraction stick pattern of RbNaMg14 for Cu Kα X-rays, from DFT lattice parameters and positions (PBE).
Kinematic intensities with the Lorentz-polarization factor, no thermal factor.

Main lines, in order of rising 2θ (5 to 70 degrees two-theta):
31.75 deg, d 2.818, I 27
32.81 deg, d 2.730, I 44
34.88 deg, d 2.572, I 54
35.86 deg, d 2.504, I 100
55.20 deg, d 1.664, I 18
60.57 deg, d 1.529, I 17
65.72 deg, d 1.421, I 19
68.81 deg, d 1.364, I 18

Atomic structure:
```
data_RbNaMg14
_chemical_formula_sum 'Rb2 Na2 Mg28'
_cell_length_a 10.9187
_cell_length_b 6.4371
_cell_length_c 11.6645
_cell_angle_alpha 90.00
_cell_angle_beta 90.00
_cell_angle_gamma 90.00
_space_group_name_H-M_alt 'A m m 2'
_space_group_IT_number 38
loop_
_space_group_symop_operation_xyz
'x,y,z'
'-x,-y,z'
'-x,y,z'
'x,-y,z'
'x,y+1/2,z+1/2'
'-x,-y+1/2,z+1/2'
'-x,y+1/2,z+1/2'
'x,-y+1/2,z+1/2'
loop_
_atom_site_label
_atom_site_fract_x
_atom_site_fract_y
_atom_site_fract_z
Rb1 0.0000 0.0000 0.0000
Na1 0.0000 0.0000 0.4988
Mg1 0.0000 0.2479 0.2499
Mg2 0.2517 0.0000 0.6689
Mg3 0.2652 0.0000 0.1726
Mg4 0.2728 0.2455 0.4115
Mg5 0.5000 0.0000 0.0012
Mg6 0.5000 0.0000 0.5017
Mg7 0.5000 0.2491 0.7493
```